Record 1
# FeSb2As
Calculated powder diffraction line list, Cu Kα X-rays. Input: a structure optimized by DFT (PBE).
Intensities are scaled so that the largest is 100.

```
data_FeSb2As
_chemical_formula_sum 'Fe2 Sb4 As2'
_symmetry_space_group_name_H-M 'C 1 m 1'
_symmetry_Int_Tables_number 8
_cell_length_a 8.365
_cell_length_b 3.332
_cell_length_c 6.652
_cell_angle_alpha 90.00
_cell_angle_beta 109.07
_cell_angle_gamma 90.00
loop_
_symmetry_equiv_pos_as_xyz
'x,y,z'
'x,-y,z'
'x+1/2,y+1/2,z'
'x+1/2,-y+1/2,z'
loop_
_atom_site_label
_atom_site_type_symbol
_atom_site_fract_x
_atom_site_fract_y
_atom_site_fract_z
Fe1 Fe 0.000 0.000 0.000
Sb1 Sb 0.071 0.500 0.335
Sb2 Sb 0.382 0.000 0.664
As1 As 0.210 0.500 0.993
```

Main lines, in order of rising 2θ (10° ≤ 2θ ≤ 90°):
2θ/deg	intensity	hkl
22.32	34	2 0 -1
29.09	55	1 1 0
29.99	64	2 0 -2
30.39	61	2 0 1
34.09	100	1 1 1
38.29	75	1 1 -2
43.21	91	0 0 3
45.96	43	3 1 -2
49.85	34	3 1 1
72.52	38	0 2 3

---

Record 2
# FeSb2As
Calculated powder diffraction line list, Cu Kα X-rays. Input: a structure optimized by DFT (PBE).
Intensities are scaled so that the largest is 100.

```
data_FeSb2As
_chemical_formula_sum 'Fe2 Sb4 As2'
_symmetry_space_group_name_H-M 'A m m 2'
_symmetry_Int_Tables_number 38
_cell_length_a 3.927
_cell_length_b 4.749
_cell_length_c 9.421
_cell_angle_alpha 90.00
_cell_angle_beta 90.00
_cell_angle_gamma 90.00
loop_
_symmetry_equiv_pos_as_xyz
'x,y,z'
'-x,-y,z'
'-x,y,z'
'x,-y,z'
'x,y+1/2,z+1/2'
'-x,-y+1/2,z+1/2'
'-x,y+1/2,z+1/2'
'x,-y+1/2,z+1/2'
loop_
_atom_site_label
_atom_site_type_symbol
_atom_site_fract_x
_atom_site_fract_y
_atom_site_fract_z
Fe1 Fe 0.000 0.000 0.000
Sb1 Sb 0.000 0.000 0.502
Sb2 Sb 0.500 0.000 0.820
As1 As 0.500 0.000 0.155
```

Main lines, in order of rising 2θ (10° ≤ 2θ ≤ 90°):
2θ/deg	intensity	hkl
29.62	100	1 0 2
31.04	56	1 1 1
34.23	55	0 1 3
37.89	44	0 2 0
44.88	27	1 0 4
46.24	25	2 0 0
48.81	49	1 2 2
58.79	34	0 0 6
60.15	22	1 2 4
61.26	21	2 2 0

---

Record 3
# FeSbAs
Calculated powder diffraction line list, Cu Kα X-rays. Input: a structure optimized by DFT (PBE).
Intensities are scaled so that the largest is 100.

```
data_FeSbAs
_chemical_formula_sum 'Fe2 Sb2 As2'
_symmetry_space_group_name_H-M 'P m n 21'
_symmetry_Int_Tables_number 31
_cell_length_a 3.050
_cell_length_b 5.554
_cell_length_c 6.264
_cell_angle_alpha 90.00
_cell_angle_beta 90.00
_cell_angle_gamma 90.00
loop_
_symmetry_equiv_pos_as_xyz
'x,y,z'
'-x+1/2,-y,z+1/2'
'-x,y,z'
'x+1/2,-y,z+1/2'
loop_
_atom_site_label
_atom_site_type_symbol
_atom_site_fract_x
_atom_site_fract_y
_atom_site_fract_z
Fe1 Fe 0.000 0.226 0.000
Sb1 Sb 0.000 0.429 0.365
As1 As 0.000 0.058 0.651
```

Main lines, in order of rising 2θ (10° ≤ 2θ ≤ 90°):
2θ/deg	intensity	hkl
32.83	98	0 1 2
33.52	57	1 1 0
35.35	39	0 2 1
36.54	100	1 1 1
46.52	65	1 2 1
51.47	26	0 3 1
53.16	44	1 0 3
53.35	32	1 2 2
70.78	21	2 1 2
87.66	18	1 3 4

---

Record 4
# Fe2Sb4As
Calculated powder diffraction line list, Cu Kα X-rays. Input: a structure optimized by DFT (PBE).
Intensities are scaled so that the largest is 100.

```
data_Fe2Sb4As
_chemical_formula_sum 'Fe4 Sb8 As2'
_symmetry_space_group_name_H-M 'I 4/m m m'
_symmetry_Int_Tables_number 139
_symmetry_space_group_name_Hall '-I 4 2'
_cell_length_a 5.269
_cell_length_b 5.269
_cell_length_c 13.106
_cell_angle_alpha 90.00
_cell_angle_beta 90.00
_cell_angle_gamma 90.00
loop_
_atom_site_label
_atom_site_type_symbol
_atom_site_fract_x
_atom_site_fract_y
_atom_site_fract_z
Fe1 Fe 0.000 0.000 0.085
Sb1 Sb 0.000 0.000 0.276
Sb2 Sb 0.000 0.500 0.000
As1 As 0.000 0.000 0.500
```

Main lines, in order of rising 2θ (10° ≤ 2θ ≤ 90°):
2θ/deg	intensity	hkl
13.51	23	0 0 2
27.22	39	0 0 4
27.54	85	1 1 2
34.03	100	2 0 0
38.35	40	1 0 5
44.11	42	2 0 4
48.30	27	1 1 6
48.89	35	2 2 0
52.20	32	2 1 5
57.03	22	3 1 2

---

Record 5
# Fe2AsSe
Calculated powder diffraction line list, Cu Kα X-rays. Input: a structure optimized by DFT (PBE).
Intensities are scaled so that the largest is 100.

```
data_Fe2AsSe
_chemical_formula_sum 'Fe2 As1 Se1'
_symmetry_space_group_name_H-M 'P 1 m 1'
_symmetry_Int_Tables_number 6
_cell_length_a 3.306
_cell_length_b 4.582
_cell_length_c 4.417
_cell_angle_alpha 90.00
_cell_angle_beta 111.78
_cell_angle_gamma 90.00
loop_
_symmetry_equiv_pos_as_xyz
'x,y,z'
'x,-y,z'
loop_
_atom_site_label
_atom_site_type_symbol
_atom_site_fract_x
_atom_site_fract_y
_atom_site_fract_z
Fe1 Fe 0.000 0.000 0.000
Fe2 Fe 0.406 0.500 0.814
As1 As 0.102 0.500 0.209
Se1 Se 0.307 0.000 0.611
```

Main lines, in order of rising 2θ (10° ≤ 2θ ≤ 90°):
2θ/deg	intensity	hkl
29.12	100	1 0 -1
29.22	27	0 1 1
39.33	64	0 2 0
47.42	48	1 1 1
47.56	49	1 1 -2
48.64	35	0 1 2
49.67	44	1 2 -1
55.59	22	2 0 -1
70.21	21	2 2 -1
77.08	20	1 3 1

---

Record 6
# Fe2SnAs8
Calculated powder diffraction line list, Cu Kα X-rays. Input: a structure optimized by DFT (PBE).
Intensities are scaled so that the largest is 100.

```
data_Fe2SnAs8
_chemical_formula_sum 'Fe4 Sn2 As16'
_symmetry_space_group_name_H-M 'C 1 2/m 1'
_symmetry_Int_Tables_number 12
_cell_length_a 13.561
_cell_length_b 7.835
_cell_length_c 4.533
_cell_angle_alpha 90.00
_cell_angle_beta 90.03
_cell_angle_gamma 90.00
loop_
_symmetry_equiv_pos_as_xyz
'x,y,z'
'-x,-y,-z'
'-x,y,-z'
'x,-y,z'
'x+1/2,y+1/2,z'
'-x+1/2,-y+1/2,-z'
'-x+1/2,y+1/2,-z'
'x+1/2,-y+1/2,z'
loop_
_atom_site_label
_atom_site_type_symbol
_atom_site_fract_x
_atom_site_fract_y
_atom_site_fract_z
Fe1 Fe 0.166 0.000 0.318
Sn1 Sn 0.000 0.500 0.000
As1 As 0.082 0.255 0.360
As2 As 0.164 0.500 0.641
As3 As 0.166 0.000 0.825
```

Main lines, in order of rising 2θ (10° ≤ 2θ ≤ 90°):
2θ/deg	intensity	hkl
22.71	42	3 1 0
26.28	31	4 0 0
30.16	41	0 2 1
32.98	100	2 2 1
42.03	37	2 0 2
46.35	26	0 4 0
46.38	52	6 2 0
48.30	21	4 0 2
54.00	42	4 2 -2
64.36	20	2 4 2